[1]
Simulated PXRD pattern of Rb8SbO3 for Cu Kα (λ = 1.5418 Å), from a DFT-relaxed cell (GGA-PBE, the Materials Project).
Neutral-atom scattering factors, no anomalous dispersion.

Structural model:
abc: 7.4475 7.4475 7.4475
angles: 90.00 90.00 90.00
Fractional coordinates of all 12 atoms:
Rb: 0.2313 0.2313 0.2313
Rb: 0.2313 0.2313 0.7687
Rb: 0.2313 0.7687 0.2313
Rb: 0.2313 0.7687 0.7687
Rb: 0.7687 0.2313 0.2313
Rb: 0.7687 0.2313 0.7687
Rb: 0.7687 0.7687 0.2313
Rb: 0.7687 0.7687 0.7687
Sb: 0.5000 0.5000 0.5000
O: 0.0000 0.0000 0.5000
O: 0.0000 0.5000 0.0000
O: 0.5000 0.0000 0.0000

Principal peaks in the range 2θ = 5–70°, by angle:
- 2θ = 23.90°, rel. 46
- 2θ = 26.77°, rel. 18
- 2θ = 34.05°, rel. 100
- 2θ = 48.92°, rel. 16
- 2θ = 55.15°, rel. 14
- 2θ = 60.94°, rel. 29



[2]
Simulated PXRD pattern of NaZrScP2SO12 for Cu Kα (λ = 1.5418 Å), from a DFT-relaxed cell (GGA-PBE, the Materials Project).
Neutral-atom scattering factors, no anomalous dispersion.

Structural model:
abc: 8.8808 8.8808 9.3191
angles: 118.51 118.51 59.99
Fractional coordinates of all 36 atoms:
Na: 0.2431 0.7569 0.5000
Na: 0.7569 0.2431 0.0000
Zr: 0.3934 0.8964 0.9487
Zr: 0.8964 0.3934 0.4487
Sc: 0.0851 0.6109 0.0645
Sc: 0.6109 0.0851 0.5645
P: 0.2120 0.9962 0.2607
P: 0.7085 0.7918 0.7587
P: 0.7918 0.7085 0.2587
P: 0.9962 0.2120 0.7607
S: 0.2927 0.4962 0.7598
S: 0.4962 0.2927 0.2598
O: 0.0300 0.3742 0.9196
O: 0.0340 0.1684 0.2784
O: 0.1320 0.4740 0.6027
O: 0.1684 0.0340 0.7784
O: 0.1855 0.8271 0.2369
O: 0.2414 0.9728 0.0974
O: 0.2627 0.5251 0.9137
O: 0.3131 0.6617 0.7745
O: 0.3372 0.4594 0.2371
O: 0.3742 0.0300 0.4196
O: 0.4594 0.3372 0.7371
O: 0.4740 0.1320 0.1027
O: 0.5251 0.2627 0.4137
O: 0.5330 0.8152 0.7788
O: 0.6240 0.7417 0.0968
O: 0.6617 0.3131 0.2745
O: 0.6800 0.9676 0.7397
O: 0.7417 0.6240 0.5968
O: 0.7605 0.8735 0.4180
O: 0.8152 0.5330 0.2788
O: 0.8271 0.1855 0.7369
O: 0.8735 0.7605 0.9180
O: 0.9676 0.6800 0.2397
O: 0.9728 0.2414 0.5974

Principal peaks in the range 2θ = 5–70°, by angle:
- 2θ = 13.79°, rel. 38
- 2θ = 19.10°, rel. 41
- 2θ = 20.00°, rel. 50
- 2θ = 23.07°, rel. 100
- 2θ = 27.79°, rel. 34
- 2θ = 30.56°, rel. 71



[3]
Simulated PXRD pattern of Sr4Bi6Se13 for Cu Kα (λ = 1.5418 Å), from a DFT-relaxed cell (GGA-PBE, the Materials Project).
Neutral-atom scattering factors, no anomalous dispersion.

Structural model:
abc: 17.2720 4.2749 18.7328
angles: 90.00 90.42 90.00
Fractional coordinates of all 46 atoms:
Sr: 0.0116 0.2500 0.2537
Sr: 0.2571 0.7500 0.7710
Sr: 0.2708 0.2500 0.3200
Sr: 0.4868 0.2500 0.1597
Sr: 0.5132 0.7500 0.8403
Sr: 0.7292 0.7500 0.6800
Sr: 0.7429 0.2500 0.2290
Sr: 0.9884 0.7500 0.7463
Bi: 0.0832 0.2500 0.9218
Bi: 0.1065 0.2500 0.5188
Bi: 0.1732 0.7500 0.1199
Bi: 0.3129 0.7500 0.5444
Bi: 0.3294 0.2500 0.9779
Bi: 0.4898 0.7500 0.3803
Bi: 0.5102 0.2500 0.6197
Bi: 0.6706 0.7500 0.0221
Bi: 0.6871 0.2500 0.4556
Bi: 0.8268 0.2500 0.8801
Bi: 0.8935 0.7500 0.4812
Bi: 0.9168 0.7500 0.0782
Se: 0.0212 0.7500 0.5871
Se: 0.0402 0.2500 0.0899
Se: 0.1165 0.2500 0.7773
Se: 0.1424 0.7500 0.2641
Se: 0.1953 0.7500 0.4387
Se: 0.1984 0.7500 0.9443
Se: 0.2353 0.2500 0.6260
Se: 0.2802 0.2500 0.1388
Se: 0.3762 0.2500 0.8348
Se: 0.3945 0.2500 0.4607
Se: 0.3942 0.7500 0.2625
Se: 0.4201 0.7500 0.6776
Se: 0.4304 0.7500 0.0146
Se: 0.5696 0.2500 0.9854
Se: 0.5799 0.2500 0.3224
Se: 0.6058 0.2500 0.7375
Se: 0.6055 0.7500 0.5393
Se: 0.6238 0.7500 0.1652
Se: 0.7198 0.7500 0.8612
Se: 0.7647 0.7500 0.3740
Se: 0.8016 0.2500 0.0557
Se: 0.8047 0.2500 0.5613
Se: 0.8576 0.2500 0.7359
Se: 0.8835 0.7500 0.2227
Se: 0.9598 0.7500 0.9101
Se: 0.9788 0.2500 0.4129

Principal peaks in the range 2θ = 5–70°, by angle:
- 2θ = 9.44°, rel. 66
- 2θ = 27.64°, rel. 49
- 2θ = 29.40°, rel. 48
- 2θ = 29.65°, rel. 67
- 2θ = 29.81°, rel. 100
- 2θ = 42.28°, rel. 82



Number 1 is which compound? Rb8SbO3